No. 1
For YAsS3, DFT lattice parameters and positions (PBE) gives the theoretical powder diffraction line list in this record (Cu Ka).

Principal peaks in the range 2θ from 5° to 70°, in order of falling intensity:
two_theta  I/Imax
19.0  100
24.3  74
16.9  65
38.6  35
34.3  31
35.4  29
53.4  28
47.5  26
31.2  26
55.7  23

Structure:
a b c (Å): 10.272 5.237 5.237
angles (deg): 91.98 90.00 90.00
Element x y z (fractional)
1 Y 0.000 0.000 0.000
2 Y 0.500 0.000 0.000
3 As 0.250 0.546 0.195
4 As 0.750 0.195 0.546
5 S 0.077 0.498 0.925
6 S 0.250 0.987 0.209
7 S 0.423 0.498 0.925
8 S 0.577 0.925 0.498
9 S 0.750 0.209 0.987
10 S 0.923 0.925 0.498

***

No. 2
For Y4AsS3, DFT lattice parameters and positions (PBE) gives the theoretical powder diffraction line list in this record (Cu Ka).

Principal peaks in the range 2θ from 5° to 70°, in order of falling intensity:
two_theta  I/Imax
31.9  100
45.7  70
56.8  24
27.5  23
66.6  11
54.1  11
15.8  3
22.4  3
35.7  2
39.3  2

Structure:
a b c (Å): 5.619 5.619 5.619
angles (deg): 90.00 90.00 90.00
Element x y z (fractional)
1 Y 0.000 0.000 0.000
2 Y 0.000 0.500 0.500
3 Y 0.500 0.000 0.500
4 Y 0.500 0.500 0.000
5 As 0.500 0.500 0.500
6 S 0.000 0.000 0.500
7 S 0.000 0.500 0.000
8 S 0.500 0.000 0.000

***

No. 3
For Y6As2S3, DFT lattice parameters and positions (PBE) gives the theoretical powder diffraction line list in this record (Cu Ka).

Principal peaks in the range 2θ from 5° to 70°, in order of falling intensity:
two_theta  I/Imax
29.6  100
37.7  60
46.7  37
48.5  24
56.2  16
61.4  13
69.6  8
26.3  8
54.2  8
54.4  6

Structure:
a b c (Å): 6.743 6.743 6.771
angles (deg): 90.00 90.00 120.00
Element x y z (fractional)
1 Y 0.000 0.331 0.247
2 Y 0.000 0.669 0.753
3 Y 0.331 0.000 0.247
4 Y 0.331 0.331 0.753
5 Y 0.669 0.000 0.753
6 Y 0.669 0.669 0.247
7 As 0.333 0.667 0.500
8 As 0.667 0.333 0.500
9 S 0.000 0.000 0.500
10 S 0.333 0.667 0.000
11 S 0.667 0.333 0.000